Starting from DFT lattice parameters and positions (GGA+U), the XRD peak list of Tl3V5O14 was computed for Cu Ka.
Peak positions follow from Bragg's law for the DFT cell and can differ from measured ones.

Most intense lines, 15 to 90 degrees two-theta, low angle first:
d [Å]	two_theta	I (rel.)	(hkl)
4.411	20.1	27.7	1 1 0
3.430	26.0	100.0	1 1 1
3.129	28.5	25.2	2 0 1
2.888	31.0	19.7	2 1 0
2.727	32.8	13.2	0 0 2
2.549	35.2	23.0	3 0 0
2.319	38.8	20.0	2 -1 2
2.119	42.7	15.4	3 1 0
1.975	45.9	17.1	3 1 1
1.681	54.6	11.8	1 1 3

Structure:
```
Tl3V5O14
1.0
8.8226 0.0000 0.0000
-4.4113 7.6406 0.0000
0.0000 0.0000 5.4534
Tl V O
3 5 14
Cartesian
-2.7027 4.6812 0.0000
1.7086 2.9594 0.0000
5.4053 0.0000 0.0000
-1.0033 1.7377 2.9141
2.0065 0.0000 2.9141
0.0000 5.0937 2.9260
4.4113 2.5468 2.9260
3.4080 5.9028 2.9141
-1.0680 1.8499 1.2853
-3.6671 6.3517 3.3048
0.7441 1.2889 3.3048
-0.5486 3.5259 3.5442
2.1360 0.0000 1.2853
-1.0835 6.3527 3.5442
0.0000 5.0937 1.2612
3.3278 1.2878 3.5442
1.6321 5.4025 3.5442
4.4113 2.5468 1.2612
3.8627 4.1147 3.5442
3.3433 5.7907 1.2853
7.3343 0.0000 3.3048
6.0434 2.2380 3.5442
```